Starting from a PBE+U-relaxed structure, the powder diffraction line list of V2C12N3F9 was simulated for Cu Ka.

Crystal structure
a = 7.5187 Å, b = 17.2986 Å, c = 7.7236 Å
α = 90.00°, β = 118.61°, γ = 90.00°
Space group P2_1 (No. 4)
Asymmetric unit:
V: 0.1700 0.0000 0.3359 [2 per cell]
V: 0.1709 0.1674 0.3348 [2 per cell]
C: 0.0144 0.9123 0.7530 [2 per cell]
C: 0.0187 0.2537 0.7448 [2 per cell]
C: 0.1640 0.7019 0.3339 [2 per cell]
C: 0.1694 0.4639 0.3426 [2 per cell]
C: 0.2035 0.4125 0.2020 [2 per cell]
C: 0.2184 0.7545 0.2090 [2 per cell]
C: 0.2933 0.7451 0.5155 [2 per cell]
C: 0.2962 0.4210 0.5209 [2 per cell]
C: 0.3168 0.0695 0.9160 [2 per cell]
C: 0.3876 0.5665 0.8180 [2 per cell]
C: 0.4287 0.5702 0.1107 [2 per cell]
C: 0.4992 0.5194 0.9967 [2 per cell]
N: 0.1758 0.8008 0.3559 [2 per cell]
N: 0.1819 0.3662 0.3612 [2 per cell]
N: 0.4946 0.6201 0.9873 [2 per cell]
F: 0.0243 0.0839 0.1329 [2 per cell]
F: 0.0614 0.4459 0.7331 [2 per cell]
F: 0.0618 0.7200 0.7326 [2 per cell]
F: 0.0988 0.0836 0.4728 [2 per cell]
F: 0.2345 0.9534 0.1687 [2 per cell]
F: 0.2351 0.2140 0.1669 [2 per cell]
F: 0.3163 0.9536 0.5687 [2 per cell]
F: 0.3204 0.2129 0.5682 [2 per cell]
F: 0.3862 0.0833 0.3963 [2 per cell]

Most intense lines, 10 to 90 degrees two-theta, in order of falling intensity:
| index | two_theta | I/Imax |
| --- | --- | --- |
| 1 1 0 | 14.41 | 100 |
| 0 1 1 | 14.03 | 56 |
| 0 2 0 | 10.23 | 51 |
| 2 0 -1 | 23.67 | 33 |
| 1 0 -2 | 23.05 | 32 |
| 1 0 1 | 22.87 | 32 |